(1)
Structure and computed powder diffractogram of NaLaTa2O7 (DFT lattice parameters and positions (PBE); λ = 1.5418 Å (Cu Kα)).
Peak positions follow from Bragg's law for the DFT cell and can differ from measured ones.

Principal peaks in the range 10 to 90 degrees two-theta, low angle first:
- 23.02°, I = 34
- 25.82°, I = 67
- 30.70°, I = 100
- 32.25°, I = 46
- 46.25°, I = 32
- 56.54°, I = 38

Crystal structure
```
data_NaLaTa2O7
_cell_length_a 3.926
_cell_length_b 3.926
_cell_length_c 21.722
_cell_angle_alpha 90.00
_cell_angle_beta 90.00
_cell_angle_gamma 90.00
_symmetry_space_group_name_H-M 'I -4 m 2'
_symmetry_Int_Tables_number 119
_symmetry_space_group_name_Hall 'I -4 -2'
loop_
_atom_site_label
_atom_site_fract_x
_atom_site_fract_y
_atom_site_fract_z
Na1 0.000 0.000 0.000
La1 0.000 0.500 0.250
Ta1 0.000 0.500 0.646
O1 0.000 0.000 0.165
O2 0.000 0.000 0.335
O3 0.000 0.500 0.563
O4 0.000 0.500 0.750
```


(2)
Structure and computed powder diffractogram of LaN (DFT lattice parameters and positions (PBE); λ = 1.5418 Å (Cu Kα)).
Peak positions follow from Bragg's law for the DFT cell and can differ from measured ones.

Principal peaks in the range 10 to 90 degrees two-theta, low angle first:
- 28.31°, I = 51
- 31.13°, I = 100
- 40.46°, I = 29
- 51.92°, I = 47
- 57.08°, I = 20
- 86.27°, I = 13

Crystal structure
```
data_LaN
_cell_length_a 4.458
_cell_length_b 4.458
_cell_length_c 3.756
_cell_angle_alpha 90.00
_cell_angle_beta 90.00
_cell_angle_gamma 90.00
_symmetry_space_group_name_H-M 'P 4/n m m'
_symmetry_Int_Tables_number 129
loop_
_symmetry_equiv_pos_as_xyz
'x,y,z'
'-x,-y,-z'
'-y+1/2,x,z'
'y+1/2,-x,-z'
'-x+1/2,-y+1/2,z'
'x+1/2,y+1/2,-z'
'y,-x+1/2,z'
'-y,x+1/2,-z'
'x+1/2,-y,-z'
'-x+1/2,y,z'
'-y,-x,-z'
'y,x,z'
'-x,y+1/2,-z'
'x,-y+1/2,z'
'y+1/2,x+1/2,-z'
'-y+1/2,-x+1/2,z'
loop_
_atom_site_label
_atom_site_fract_x
_atom_site_fract_y
_atom_site_fract_z
La1 0.250 0.250 0.239
N1 0.250 0.750 0.500
```


(3)
Structure and computed powder diffractogram of BaMg2N2 (DFT lattice parameters and positions (PBE); λ = 1.5418 Å (Cu Kα)).
Peak positions follow from Bragg's law for the DFT cell and can differ from measured ones.

Principal peaks in the range 10 to 90 degrees two-theta, low angle first:
- 13.11°, I = 37
- 27.63°, I = 23
- 30.70°, I = 100
- 38.58°, I = 48
- 48.87°, I = 24
- 64.95°, I = 16

Crystal structure
```
data_BaMg2N2
_cell_length_a 3.7273
_cell_length_b 3.7273
_cell_length_c 6.7557
_cell_angle_alpha 90.00
_cell_angle_beta 90.00
_cell_angle_gamma 120.00
_symmetry_space_group_name_H-M 'P -3 m 1'
_symmetry_Int_Tables_number 164
_symmetry_space_group_name_Hall '-P 3 2"'
loop_
_atom_site_label
_atom_site_fract_x
_atom_site_fract_y
_atom_site_fract_z
Ba1 0.0000 0.0000 0.0000
Mg1 0.3333 0.6667 0.3774
N1 0.3333 0.6667 0.7056
```


(4)
Structure and computed powder diffractogram of Sn3Ru2 (DFT lattice parameters and positions (PBE); λ = 1.5418 Å (Cu Kα)).
Peak positions follow from Bragg's law for the DFT cell and can differ from measured ones.

Principal peaks in the range 10 to 90 degrees two-theta, low angle first:
- 33.26°, I = 72
- 33.60°, I = 100
- 36.80°, I = 95
- 40.81°, I = 38
- 41.39°, I = 37
- 47.22°, I = 57

Crystal structure
```
data_Sn3Ru2
_cell_length_a 6.253
_cell_length_b 6.253
_cell_length_c 10.031
_cell_angle_alpha 90.00
_cell_angle_beta 90.00
_cell_angle_gamma 90.00
_symmetry_space_group_name_H-M 'P -4 c 2'
_symmetry_Int_Tables_number 116
loop_
_symmetry_equiv_pos_as_xyz
'x,y,z'
'y,-x,-z'
'-x,-y,z'
'-y,x,-z'
'-x,y,z+1/2'
'-y,-x,-z+1/2'
'x,-y,z+1/2'
'y,x,-z+1/2'
loop_
_atom_site_label
_atom_site_fract_x
_atom_site_fract_y
_atom_site_fract_z
Sn1 0.156 0.280 0.416
Sn2 0.321 0.321 0.750
Ru1 0.000 0.000 0.250
Ru2 0.000 0.500 0.126
Ru3 0.500 0.500 0.000
```


(5)
Structure and computed powder diffractogram of CeCo2Si2 (DFT lattice parameters and positions (PBE); λ = 1.5418 Å (Cu Kα)).
Peak positions follow from Bragg's law for the DFT cell and can differ from measured ones.

Principal peaks in the range 10 to 90 degrees two-theta, low angle first:
- 24.37°, I = 43
- 35.69°, I = 56
- 37.15°, I = 100
- 46.15°, I = 40
- 59.67°, I = 25
- 79.47°, I = 20

Crystal structure
```
data_CeCo2Si2
_cell_length_a 3.934
_cell_length_b 3.934
_cell_length_c 9.817
_cell_angle_alpha 90.00
_cell_angle_beta 90.00
_cell_angle_gamma 90.00
_symmetry_space_group_name_H-M 'I 4/m m m'
_symmetry_Int_Tables_number 139
_symmetry_space_group_name_Hall '-I 4 2'
loop_
_atom_site_label
_atom_site_fract_x
_atom_site_fract_y
_atom_site_fract_z
Ce1 0.000 0.000 0.000
Co1 0.000 0.500 0.250
Si1 0.000 0.000 0.370
```


(6)
Structure and computed powder diffractogram of TiAlIr2 (DFT lattice parameters and positions (PBE); λ = 1.5418 Å (Cu Kα)).
Peak positions follow from Bragg's law for the DFT cell and can differ from measured ones.

Principal peaks in the range 10 to 90 degrees two-theta, low angle first:
- 29.02°, I = 58
- 41.50°, I = 100
- 51.43°, I = 17
- 60.14°, I = 17
- 68.13°, I = 22
- 75.70°, I = 34

Crystal structure
```
data_TiAlIr2
_cell_length_a 6.155
_cell_length_b 6.155
_cell_length_c 6.155
_cell_angle_alpha 90.00
_cell_angle_beta 90.00
_cell_angle_gamma 90.00
_symmetry_space_group_name_H-M 'F m -3 m'
_symmetry_Int_Tables_number 225
_symmetry_space_group_name_Hall '-F 4 2 3'
loop_
_atom_site_label
_atom_site_fract_x
_atom_site_fract_y
_atom_site_fract_z
Ti1 0.000 0.000 0.000
Al1 0.000 0.000 0.500
Ir1 0.250 0.250 0.250
```


(7)
Structure and computed powder diffractogram of BaSrGdBiO6 (DFT lattice parameters and positions (PBE); λ = 1.5418 Å (Cu Kα)).
Peak positions follow from Bragg's law for the DFT cell and can differ from measured ones.

Principal peaks in the range 10 to 90 degrees two-theta, low angle first:
- 29.11°, I = 100
- 41.64°, I = 27
- 51.61°, I = 45
- 60.35°, I = 17
- 68.35°, I = 12
- 83.34°, I = 19

Crystal structure
```
data_BaSrGdBiO6
_cell_length_a 8.668
_cell_length_b 8.676
_cell_length_c 8.685
_cell_angle_alpha 90.00
_cell_angle_beta 90.00
_cell_angle_gamma 90.00
_symmetry_space_group_name_H-M 'P n n n'
_symmetry_Int_Tables_number 48
loop_
_symmetry_equiv_pos_as_xyz
'x,y,z'
'-x,-y,-z'
'-x+1/2,-y+1/2,z'
'x+1/2,y+1/2,-z'
'x,-y+1/2,-z+1/2'
'-x,y+1/2,z+1/2'
'-x+1/2,y,-z+1/2'
'x+1/2,-y,z+1/2'
loop_
_atom_site_label
_atom_site_fract_x
_atom_site_fract_y
_atom_site_fract_z
Ba1 0.250 0.250 0.250
Ba2 0.250 0.750 0.750
Sr1 0.250 0.250 0.750
Sr2 0.250 0.750 0.250
Gd1 0.000 0.000 0.000
Bi1 0.000 0.000 0.500
O1 0.027 0.243 0.470
O2 0.042 0.031 0.742
O3 0.242 0.536 0.039
```


(8)
Structure and computed powder diffractogram of TiAlRh2 (DFT lattice parameters and positions (PBE); λ = 1.5418 Å (Cu Kα)).
Peak positions follow from Bragg's law for the DFT cell and can differ from measured ones.

Principal peaks in the range 10 to 90 degrees two-theta, low angle first:
- 29.14°, I = 31
- 41.69°, I = 100
- 51.67°, I = 8
- 60.42°, I = 16
- 68.47°, I = 11
- 76.09°, I = 32

Crystal structure
```
data_TiAlRh2
_cell_length_a 6.128
_cell_length_b 6.128
_cell_length_c 6.128
_cell_angle_alpha 90.00
_cell_angle_beta 90.00
_cell_angle_gamma 90.00
_symmetry_space_group_name_H-M 'F m -3 m'
_symmetry_Int_Tables_number 225
_symmetry_space_group_name_Hall '-F 4 2 3'
loop_
_atom_site_label
_atom_site_fract_x
_atom_site_fract_y
_atom_site_fract_z
Ti1 0.000 0.000 0.000
Al1 0.000 0.000 0.500
Rh1 0.250 0.250 0.250
```


(9)
Structure and computed powder diffractogram of SrC2 (DFT lattice parameters and positions (PBE); λ = 1.5418 Å (Cu Kα)).
Peak positions follow from Bragg's law for the DFT cell and can differ from measured ones.

Principal peaks in the range 10 to 90 degrees two-theta, low angle first:
- 24.13°, I = 100
- 33.05°, I = 92
- 35.67°, I = 94
- 49.41°, I = 28
- 53.91°, I = 39
- 62.42°, I = 27

Crystal structure
```
data_SrC2
_cell_length_a 5.0347
_cell_length_b 5.0347
_cell_length_c 6.9200
_cell_angle_alpha 90.00
_cell_angle_beta 90.00
_cell_angle_gamma 120.00
_symmetry_space_group_name_H-M 'R -3 m'
_symmetry_Int_Tables_number 166
_symmetry_space_group_name_Hall '-R 3 2"'
loop_
_atom_site_label
_atom_site_fract_x
_atom_site_fract_y
_atom_site_fract_z
Sr1 0.0000 0.0000 0.0000
C1 0.0000 0.0000 0.4084
```